Calculated X-ray powder pattern
Compound: LaNi2AsH2
Radiation: Cu Kα X-rays
Structure: a DFT-relaxed cell (GGA-PBE, Alexandria)
No peak broadening, texture or thermal motion is included.

a = 5.9533 Å, b = 5.0327 Å, c = 6.0433 Å
α = 90.00°, β = 109.49°, γ = 90.00°
Atoms (fractional coordinates):
La1 0.1817 0.2500 0.3134
La2 0.8183 0.7500 0.6866
Ni1 0.3196 0.0001 0.8056
Ni2 0.3196 0.4999 0.8056
Ni3 0.6804 0.9999 0.1944
Ni4 0.6804 0.5001 0.1944
As1 0.3288 0.7500 0.1419
As2 0.6712 0.2500 0.8581
H1 0.1284 0.2500 0.7248
H2 0.2451 0.7500 0.6165
H3 0.7549 0.2500 0.3835
H4 0.8716 0.7500 0.2752

Principal peaks in the range 15 to 90 degrees two-theta, sorted by position:
- 3.510 Å, I 100, hkl 1 1 -1
- 2.848 Å, I 46, hkl 0 0 2
- 2.806 Å, I 45, hkl 2 0 0
- 2.479 Å, I 41, hkl 0 1 2
- 2.238 Å, I 76, hkl 1 2 -1
- 2.035 Å, I 70, hkl 1 2 1